For P2Cl3O4, the PBE geometry in Alexandria gives the calculated powder XRD pattern in this record (copper Kα).
Intensities are scaled so that the largest is 100.

Structure:
Cell lengths 21.1975, 7.1163, 4.6473 Å; angles 90.00, 97.17, 90.00 degrees
Space group C2/c (No. 15)
Asymmetric unit:
1 P 0.2036 0.1469 0.3891 (multiplicity 8)
2 Cl 0.0000 0.0407 0.7500 (multiplicity 4)
3 Cl 0.1261 0.3080 0.2775 (multiplicity 8)
4 O 0.1873 0.0271 0.0710 (multiplicity 8)
5 O 0.2277 0.2971 0.6903 (multiplicity 8)

Main lines, in order of falling intensity (2θ from 15° to 90°):
2θ/deg  d [Å]  I_rel
24.6  3.621  100
22.9  3.879  83
25.1  3.549  72
56.2  1.636  20
33.6  2.671  18
37.3  2.408  17
45.4  2.000  16
26.4  3.370  16
66.3  1.411  15
32.3  2.774  15